Entry 1:
Structure and theoretical XRD peak list of LiPuMo (the GGA-PBE geometry in OQMD; CuKα).
No peak broadening, texture or thermal motion is included.

Principal peaks in the range 2θ from 5° to 70°, by angle:
hkl 1 1 1, 2θ 25.05, I 100
hkl 2 0 0, 2θ 29.01, I 14
hkl 2 2 0, 2θ 41.49, I 72
hkl 3 1 1, 2θ 49.08, I 50
hkl 2 2 2, 2θ 51.42, I 4
hkl 4 0 0, 2θ 60.12, I 12
hkl 3 3 1, 2θ 66.17, I 21
hkl 4 2 0, 2θ 68.12, I 6

Cell and atoms:
```
data_LiPuMo
_symmetry_space_group_name_H-M 'F -4 3 m'
_symmetry_Int_Tables_number 216
_symmetry_space_group_name_Hall 'F -4 2 3'
_cell_length_a 6.156
_cell_length_b 6.156
_cell_length_c 6.156
_cell_angle_alpha 90.00
_cell_angle_beta 90.00
_cell_angle_gamma 90.00
loop_
_atom_site_label
_atom_site_fract_x
_atom_site_fract_y
_atom_site_fract_z
_atom_site_occupancy
Li1 0.000 0.000 0.000 1
Pu1 0.250 0.250 0.250 1
Mo1 0.000 0.000 0.500 1
```

---

Entry 2:
Structure and theoretical XRD peak list of Li2ZnMoS4 (the GGA-PBE geometry in OQMD; CuKα).
No peak broadening, texture or thermal motion is included.

Principal peaks in the range 2θ from 5° to 70°, by angle:
hkl 0 1 1, 2θ 17.33, I 82
hkl 1 0 0, 2θ 17.94, I 100
hkl 1 1 -2, 2θ 22.33, I 25
hkl 0 1 2, 2θ 26.16, I 61
hkl 0 2 0, 2θ 26.55, I 37
hkl 2 0 -2, 2θ 28.18, I 56
hkl 0 0 4, 2θ 45.92, I 27
hkl 0 3 2, 2θ 46.63, I 50
hkl 3 1 -1, 2θ 50.77, I 24
hkl 3 1 -5, 2θ 50.99, I 24

Cell and atoms:
```
data_Li2ZnMoS4
_symmetry_space_group_name_H-M 'P 1 c 1'
_symmetry_Int_Tables_number 7
_symmetry_space_group_name_Hall 'P -2yc'
_cell_length_a 6.334
_cell_length_b 6.716
_cell_length_c 10.105
_cell_angle_alpha 90.00
_cell_angle_beta 128.52
_cell_angle_gamma 90.00
loop_
_atom_site_label
_atom_site_fract_x
_atom_site_fract_y
_atom_site_fract_z
_atom_site_occupancy
Li1 0.000 0.161 0.000 1
Li2 0.747 0.334 0.246 1
Zn1 0.255 0.326 0.750 1
Mo1 0.498 0.171 0.495 1
S1 0.148 0.341 0.259 1
S2 0.380 0.155 0.992 1
S3 0.615 0.321 0.738 1
S4 0.871 0.181 0.505 1
```

---

Entry 3:
Structure and theoretical XRD peak list of LiSbMoW (the GGA-PBE geometry in OQMD; CuKα).
No peak broadening, texture or thermal motion is included.

Principal peaks in the range 2θ from 5° to 70°, by angle:
hkl 1 1 1, 2θ 24.22, I 47
hkl 2 0 0, 2θ 28.04, I 1
hkl 2 2 0, 2θ 40.07, I 100
hkl 3 1 1, 2θ 47.37, I 24
hkl 4 0 0, 2θ 57.96, I 17
hkl 3 3 1, 2θ 63.74, I 10

Cell and atoms:
```
data_LiSbMoW
_symmetry_space_group_name_H-M 'F -4 3 m'
_symmetry_Int_Tables_number 216
_symmetry_space_group_name_Hall 'F -4 2 3'
_cell_length_a 6.365
_cell_length_b 6.365
_cell_length_c 6.365
_cell_angle_alpha 90.00
_cell_angle_beta 90.00
_cell_angle_gamma 90.00
loop_
_atom_site_label
_atom_site_fract_x
_atom_site_fract_y
_atom_site_fract_z
_atom_site_occupancy
Li1 0.000 0.000 0.000 1
Sb1 0.250 0.250 0.750 1
Mo1 0.250 0.250 0.250 1
W1 0.000 0.000 0.500 1
```

---

Entry 4:
Structure and theoretical XRD peak list of Li2SmMo2 (the GGA-PBE geometry in OQMD; CuKα).
No peak broadening, texture or thermal motion is included.

Principal peaks in the range 2θ from 5° to 70°, by angle:
hkl 1 1 0, 2θ 21.77, I 18
hkl 1 1 1, 2θ 28.94, I 100
hkl 1 2 0, 2θ 30.45, I 16
hkl 0 2 1, 2θ 30.95, I 69
hkl 1 2 1, 2θ 36.05, I 22
hkl 0 0 2, 2θ 38.21, I 37
hkl 1 3 0, 2θ 41.35, I 56
hkl 2 1 1, 2θ 43.29, I 25
hkl 2 2 0, 2θ 44.38, I 17
hkl 1 3 2, 2θ 57.55, I 37

Cell and atoms:
```
data_Li2SmMo2
_symmetry_space_group_name_H-M 'P b a m'
_symmetry_Int_Tables_number 55
_symmetry_space_group_name_Hall '-P 2 2ab'
_cell_length_a 4.921
_cell_length_b 7.316
_cell_length_c 4.711
_cell_angle_alpha 90.00
_cell_angle_beta 90.00
_cell_angle_gamma 90.00
loop_
_atom_site_label
_atom_site_fract_x
_atom_site_fract_y
_atom_site_fract_z
_atom_site_occupancy
Li1 0.047 0.154 0.000 1
Sm1 0.000 0.500 0.000 1
Mo1 0.142 0.826 0.500 1
```

---

Entry 5:
Structure and theoretical XRD peak list of LiTc5Mo2 (the GGA-PBE geometry in OQMD; CuKα).
No peak broadening, texture or thermal motion is included.

Principal peaks in the range 2θ from 5° to 70°, by angle:
hkl 1 0 1, 2θ 27.19, I 19
hkl 1 1 1, 2θ 31.71, I 6
hkl 2 1 0, 2θ 36.28, I 9
hkl 2 0 1, 2θ 39.36, I 100
hkl 0 0 2, 2θ 44.52, I 20
hkl 2 2 0, 2θ 46.38, I 29
hkl 3 0 0, 2θ 49.38, I 7
hkl 3 2 1, 2θ 64.90, I 9
hkl 2 2 2, 2θ 66.25, I 19
hkl 4 0 0, 2θ 67.69, I 7

Cell and atoms:
```
data_LiTc5Mo2
_symmetry_space_group_name_H-M 'P 4/m m m'
_symmetry_Int_Tables_number 123
_symmetry_space_group_name_Hall '-P 4 2'
_cell_length_a 5.537
_cell_length_b 5.537
_cell_length_c 4.070
_cell_angle_alpha 90.00
_cell_angle_beta 90.00
_cell_angle_gamma 90.00
loop_
_atom_site_label
_atom_site_fract_x
_atom_site_fract_y
_atom_site_fract_z
_atom_site_occupancy
Li1 0.000 0.000 0.000 1
Tc1 0.000 0.000 0.500 1
Tc2 0.282 0.282 0.000 1
Mo1 0.000 0.500 0.500 1
```

---

What did the second record say?
Structure and theoretical XRD peak list of Li2ZnMoS4 (the GGA-PBE geometry in OQMD; CuKα).
No peak broadening, texture or thermal motion is included.

Principal peaks in the range 2θ from 5° to 70°, by angle:
hkl 0 1 1, 2θ 17.33, I 82
hkl 1 0 0, 2θ 17.94, I 100
hkl 1 1 -2, 2θ 22.33, I 25
hkl 0 1 2, 2θ 26.16, I 61
hkl 0 2 0, 2θ 26.55, I 37
hkl 2 0 -2, 2θ 28.18, I 56
hkl 0 0 4, 2θ 45.92, I 27
hkl 0 3 2, 2θ 46.63, I 50
hkl 3 1 -1, 2θ 50.77, I 24
hkl 3 1 -5, 2θ 50.99, I 24

Cell and atoms:
```
data_Li2ZnMoS4
_symmetry_space_group_name_H-M 'P 1 c 1'
_symmetry_Int_Tables_number 7
_symmetry_space_group_name_Hall 'P -2yc'
_cell_length_a 6.334
_cell_length_b 6.716
_cell_length_c 10.105
_cell_angle_alpha 90.00
_cell_angle_beta 128.52
_cell_angle_gamma 90.00
loop_
_atom_site_label
_atom_site_fract_x
_atom_site_fract_y
_atom_site_fract_z
_atom_site_occupancy
Li1 0.000 0.161 0.000 1
Li2 0.747 0.334 0.246 1
Zn1 0.255 0.326 0.750 1
Mo1 0.498 0.171 0.495 1
S1 0.148 0.341 0.259 1
S2 0.380 0.155 0.992 1
S3 0.615 0.321 0.738 1
S4 0.871 0.181 0.505 1
```